For PrCdCu, a cell relaxed with GGA-PBE gives the calculated PXRD pattern in this record (copper Kα).

Structure:
```
data_PrCdCu
_chemical_formula_sum 'Pr1 Cd1 Cu1'
_cell_length_a 4.7700
_cell_length_b 4.7700
_cell_length_c 3.5495
_cell_angle_alpha 90.00
_cell_angle_beta 90.00
_cell_angle_gamma 120.00
_space_group_name_H-M_alt 'P 1'
_space_group_IT_number 1
_space_group_name_Hall 'P 1'
loop_
_atom_site_label
_atom_site_type_symbol
_atom_site_fract_x
_atom_site_fract_y
_atom_site_fract_z
Pr1 Pr 0.0000 0.0000 0.0000
Cd1 Cd 0.6667 0.3333 0.5000
Cu1 Cu 0.3333 0.6667 0.5000
```

Peak list (10 most intense, 10 to 80 degrees two-theta, most intense first)
(1 0 1), 2θ 33.28, intensity 100; (1 1 0), 2θ 37.72, intensity 67; (2 0 1), 2θ 51.17, intensity 29; (2 1 1), 2θ 65.29, intensity 27; (1 1 2), 2θ 65.57, intensity 25; (3 0 0), 2θ 68.09, intensity 11; (1 0 0), 2θ 21.51, intensity 11; (0 0 2), 2θ 51.49, intensity 9; (2 0 0), 2θ 43.83, intensity 2; (1 0 2), 2θ 56.43, intensity 2